The following is a theoretical powder diffraction line list of La3LuBeS7. It was derived from DFT lattice parameters and positions (PBE), using copper Kα.

The 10 most intense peaks (2θ = 10–90°), in order of rising 2θ:
Position (°2θ)  intensity  (hkl)
17.44  46  1 0 1
22.46  36  1 1 1
24.60  45  2 0 1
26.43  100  1 2 0
33.43  40  3 0 1
33.79  52  1 1 2
35.30  54  2 0 2
39.21  37  3 1 1
39.53  39  2 1 2
46.69  50  4 1 0

Structural model:
```
data_La3LuBeS7
_cell_length_a 10.3010
_cell_length_b 10.3010
_cell_length_c 6.1886
_cell_angle_alpha 90.00
_cell_angle_beta 90.00
_cell_angle_gamma 120.00
_space_group_name_H-M_alt 'P 63'
_space_group_IT_number 173
_space_group_name_Hall 'P 6c'
loop_
_atom_site_label
_atom_site_fract_x
_atom_site_fract_y
_atom_site_fract_z
_atom_site_occupancy
La1 0.1368 0.3961 0.0000 1
Lu1 0.0000 0.0000 0.2690 1
Be1 0.3333 0.6667 0.4112 1
S1 0.0806 0.2366 0.5205 1
S2 0.1161 0.5965 0.2791 1
S3 0.3333 0.6667 0.7596 1
```